Mg3FeN3: simulated powder X-ray diffraction pattern (Cu Kα (λ = 1.5418 Å)), based on a structure optimized by DFT (GGA-PBE).
Peak positions follow from Bragg's law for the DFT cell and can differ from measured ones.

The 10 most intense peaks (15° ≤ 2θ ≤ 90°), sorted by position:
2θ 25.06, rel. 67.3
2θ 25.31, rel. 64.2
2θ 29.70, rel. 27.2
2θ 35.60, rel. 88.8
2θ 36.35, rel. 54.0
2θ 37.43, rel. 43.5
2θ 41.65, rel. 100.0
2θ 45.89, rel. 58.4
2θ 48.40, rel. 28.2
2θ 63.69, rel. 41.0

Structural model:
abc: 6.133 4.336 6.317
angles: 90.00 101.09 90.00
Fractional coordinates of all 14 atoms:
Mg1 0.095 0.250 0.385
Mg2 0.189 0.250 0.871
Mg3 0.395 0.750 0.633
Mg4 0.605 0.250 0.367
Mg5 0.811 0.750 0.129
Mg6 0.905 0.750 0.615
Fe1 0.302 0.750 0.182
Fe2 0.698 0.250 0.818
N1 0.111 0.750 0.371
N2 0.193 0.750 0.899
N3 0.420 0.250 0.649
N4 0.580 0.750 0.351
N5 0.807 0.250 0.101
N6 0.889 0.250 0.629

=====

Sm2MgSe4: simulated powder X-ray diffraction pattern (Cu Kα (λ = 1.5418 Å)), based on a structure optimized by DFT (GGA-PBE).
Peak positions follow from Bragg's law for the DFT cell and can differ from measured ones.

The 10 most intense peaks (15° ≤ 2θ ≤ 90°), sorted by position:
2θ 17.66, rel. 60.9
2θ 22.47, rel. 28.5
2θ 24.85, rel. 27.0
2θ 25.46, rel. 35.6
2θ 27.65, rel. 63.8
2θ 27.83, rel. 34.3
2θ 35.76, rel. 100.0
2θ 35.91, rel. 41.4
2θ 42.82, rel. 30.4
2θ 43.21, rel. 51.6

Structural model:
abc: 14.466 8.446 6.923
angles: 90.00 90.00 90.00
Fractional coordinates of all 28 atoms:
Sm1 0.000 0.000 0.000
Sm2 0.000 0.500 0.000
Sm3 0.234 0.250 0.498
Sm4 0.266 0.750 0.998
Sm5 0.500 0.000 0.500
Sm6 0.500 0.500 0.500
Sm7 0.734 0.250 0.002
Sm8 0.766 0.750 0.502
Mg1 0.092 0.750 0.583
Mg2 0.408 0.250 0.083
Mg3 0.592 0.750 0.917
Mg4 0.908 0.250 0.417
Se1 0.071 0.250 0.253
Se2 0.092 0.750 0.215
Se3 0.169 0.510 0.756
Se4 0.169 0.990 0.756
Se5 0.331 0.010 0.256
Se6 0.331 0.490 0.256
Se7 0.408 0.250 0.715
Se8 0.429 0.750 0.753
Se9 0.571 0.250 0.247
Se10 0.592 0.750 0.285
Se11 0.669 0.510 0.744
Se12 0.669 0.990 0.744
Se13 0.831 0.010 0.244
Se14 0.831 0.490 0.244
Se15 0.908 0.250 0.785
Se16 0.929 0.750 0.747

=====

NiH4C2S4N2: simulated powder X-ray diffraction pattern (Cu Kα (λ = 1.5418 Å)), based on a structure optimized by DFT (GGA-PBE).
Peak positions follow from Bragg's law for the DFT cell and can differ from measured ones.

The 10 most intense peaks (15° ≤ 2θ ≤ 90°), sorted by position:
2θ 15.47, rel. 44.5
2θ 17.81, rel. 19.4
2θ 20.22, rel. 84.8
2θ 21.78, rel. 100.0
2θ 26.70, rel. 27.7
2θ 27.16, rel. 27.5
2θ 28.37, rel. 17.8
2θ 29.49, rel. 60.2
2θ 34.04, rel. 30.9
2θ 47.11, rel. 24.5

Structural model:
abc: 8.948 10.094 11.450
angles: 90.00 128.94 90.00
Fractional coordinates of all 52 atoms:
Ni1 0.219 0.107 0.173
Ni2 0.219 0.393 0.673
Ni3 0.781 0.607 0.327
Ni4 0.781 0.893 0.827
H1 0.213 0.102 0.657
H2 0.213 0.398 0.157
H3 0.273 0.743 0.322
H4 0.273 0.757 0.822
H5 0.286 0.034 0.826
H6 0.286 0.466 0.326
H7 0.351 0.692 0.994
H8 0.351 0.808 0.494
H9 0.649 0.192 0.506
H10 0.649 0.308 0.006
H11 0.714 0.534 0.674
H12 0.714 0.966 0.174
H13 0.727 0.243 0.178
H14 0.727 0.257 0.678
H15 0.787 0.602 0.843
H16 0.787 0.898 0.343
C1 0.096 0.707 0.375
C2 0.096 0.793 0.875
C3 0.462 0.508 0.273
C4 0.462 0.992 0.773
C5 0.538 0.008 0.227
C6 0.538 0.492 0.727
C7 0.904 0.207 0.125
C8 0.904 0.293 0.625
S1 0.043 0.723 0.495
S2 0.043 0.777 0.995
S3 0.083 0.119 0.280
S4 0.083 0.381 0.780
S5 0.366 0.103 0.075
S6 0.366 0.397 0.575
S7 0.480 0.507 0.843
S8 0.480 0.993 0.343
S9 0.520 0.007 0.657
S10 0.520 0.493 0.157
S11 0.634 0.603 0.425
S12 0.634 0.897 0.925
S13 0.917 0.619 0.220
S14 0.917 0.881 0.720
S15 0.957 0.223 0.005
S16 0.957 0.277 0.505
N1 0.252 0.747 0.900
N2 0.252 0.753 0.400
N3 0.309 0.044 0.749
N4 0.309 0.456 0.249
N5 0.691 0.544 0.751
N6 0.691 0.956 0.251
N7 0.748 0.247 0.600
N8 0.748 0.253 0.100

=====

DyFe2Co2B: simulated powder X-ray diffraction pattern (Cu Kα (λ = 1.5418 Å)), based on a structure optimized by DFT (GGA-PBE).
Peak positions follow from Bragg's law for the DFT cell and can differ from measured ones.

The 10 most intense peaks (15° ≤ 2θ ≤ 90°), sorted by position:
2θ 20.30, rel. 13.0
2θ 33.22, rel. 100.0
2θ 35.43, rel. 23.4
2θ 41.06, rel. 27.5
2θ 41.28, rel. 53.6
2θ 44.49, rel. 71.2
2θ 44.65, rel. 35.4
2θ 53.57, rel. 13.9
2θ 69.81, rel. 21.0
2θ 74.96, rel. 14.7

Structural model:
abc: 5.068 5.068 6.843
angles: 90.04 90.04 59.66
Fractional coordinates of all 12 atoms:
Dy1 0.000 0.000 0.000
Dy2 0.001 0.001 0.491
Fe1 0.000 0.500 0.781
Fe2 0.333 0.333 0.491
Fe3 0.500 0.000 0.781
Fe4 0.669 0.669 0.491
Co1 0.001 0.501 0.205
Co2 0.500 0.500 0.781
Co3 0.501 0.001 0.205
Co4 0.501 0.501 0.206
B1 0.335 0.335 0.997
B2 0.666 0.666 0.997

=====

KRb2RuF6: simulated powder X-ray diffraction pattern (Cu Kα (λ = 1.5418 Å)), based on a structure optimized by DFT (GGA-PBE).
Peak positions follow from Bragg's law for the DFT cell and can differ from measured ones.

The 10 most intense peaks (15° ≤ 2θ ≤ 90°), sorted by position:
2θ 16.85, rel. 19.3
2θ 27.68, rel. 100.0
2θ 32.58, rel. 5.2
2θ 34.07, rel. 9.7
2θ 39.55, rel. 42.5
2θ 48.95, rel. 38.1
2θ 57.16, rel. 25.3
2θ 64.67, rel. 19.4
2θ 71.74, rel. 7.8
2θ 78.53, rel. 21.3

Structural model:
abc: 6.446 6.446 6.446
angles: 60.00 60.00 60.00
Fractional coordinates of all 10 atoms:
K1 0.000 0.000 0.000
Rb1 0.250 0.250 0.250
Rb2 0.750 0.750 0.750
Ru1 0.500 0.500 0.500
F1 0.278 0.278 0.722
F2 0.278 0.722 0.278
F3 0.278 0.722 0.722
F4 0.722 0.278 0.278
F5 0.722 0.278 0.722
F6 0.722 0.722 0.278

=====

ErCdAu2: simulated powder X-ray diffraction pattern (Cu Kα (λ = 1.5418 Å)), based on a structure optimized by DFT (GGA-PBE).
Peak positions follow from Bragg's law for the DFT cell and can differ from measured ones.

The 10 most intense peaks (15° ≤ 2θ ≤ 90°), sorted by position:
2θ 22.13, rel. 1.3
2θ 25.61, rel. 3.5
2θ 36.54, rel. 100.0
2θ 45.15, rel. 1.2
2θ 52.63, rel. 17.6
2θ 59.42, rel. 1.6
2θ 65.77, rel. 36.1
2θ 77.65, rel. 11.4
2θ 83.36, rel. 0.9
2θ 89.00, rel. 16.9

Structural model:
abc: 6.956 6.956 6.956
angles: 90.00 90.00 90.00
Fractional coordinates of all 16 atoms:
Er1 0.000 0.000 0.000
Er2 0.000 0.500 0.500
Er3 0.500 0.000 0.500
Er4 0.500 0.500 0.000
Cd1 0.000 0.000 0.500
Cd2 0.000 0.500 0.000
Cd3 0.500 0.000 0.000
Cd4 0.500 0.500 0.500
Au1 0.250 0.250 0.250
Au2 0.250 0.250 0.750
Au3 0.250 0.750 0.250
Au4 0.250 0.750 0.750
Au5 0.750 0.250 0.250
Au6 0.750 0.250 0.750
Au7 0.750 0.750 0.250
Au8 0.750 0.750 0.750